Entry 1:
The following is a calculated PXRD pattern of KInPb. It was derived from a GGA-PBE-relaxed structure, using Cu Kα (λ = 1.5418 Å).
Lines closer than 0.1° are merged.

Largest 10 diffraction maxima, in order of rising 2θ, 2θ = 15–90°:
| (hkl) | Position (°2θ) | I (rel.) |
| --- | --- | --- |
| 1 1 0 | 19.46 | 66 |
| 0 0 2 | 20.00 | 40 |
| 1 1 2 | 28.04 | 66 |
| 1 2 1 | 28.24 | 100 |
| 0 1 3 | 31.93 | 83 |
| 2 0 0 | 33.49 | 61 |
| 1 3 0 | 35.11 | 84 |
| 1 2 3 | 40.50 | 76 |
| 1 3 2 | 40.73 | 38 |
| 2 1 3 | 46.94 | 57 |

Crystal structure
Unit cell a=5.352 b=8.727 c=8.879 alpha=90.00 beta=90.00 gamma=90.00
Space group Ima2 (No. 46)
Symmetry-distinct sites (fractional):
K 0.250 0.182 0.000 [4 per cell]
In 0.250 0.579 0.832 [4 per cell]
Pb 0.250 0.601 0.180 [4 per cell]

Entry 2:
The following is a calculated PXRD pattern of Te2MoW2Se2S2. It was derived from a GGA-PBE-relaxed structure, using Cu Kα (λ = 1.5418 Å).
Lines closer than 0.1° are merged.

Largest 10 diffraction maxima, in order of rising 2θ, 2θ = 15–90°:
| (hkl) | Position (°2θ) | I (rel.) |
| --- | --- | --- |
| 1 0 0 | 30.85 | 51 |
| 0 1 3 | 33.01 | 22 |
| 1 0 4 | 34.62 | 20 |
| 0 1 5 | 36.59 | 100 |
| 0 0 10 | 38.90 | 19 |
| 0 1 8 | 44.26 | 66 |
| 1 1 0 | 54.86 | 33 |
| 1 1 3 | 56.25 | 18 |
| 2 0 5 | 67.75 | 16 |
| 2 0 8 | 73.03 | 15 |

Crystal structure
Unit cell a=3.3473 b=3.3473 c=23.1160 alpha=90.00 beta=90.00 gamma=120.00
Space group P3m1 (No. 156)
Symmetry-distinct sites (fractional):
Te 0.0000 0.0000 0.0000 [1 per cell]
Te 0.0000 0.0000 0.1651 [1 per cell]
Mo 0.6667 0.3333 0.4511 [1 per cell]
W 0.0000 0.0000 0.7603 [1 per cell]
W 0.6667 0.3333 0.0825 [1 per cell]
Se 0.0000 0.0000 0.3790 [1 per cell]
Se 0.0000 0.0000 0.5231 [1 per cell]
S 0.6667 0.3333 0.6946 [1 per cell]
S 0.6667 0.3333 0.8261 [1 per cell]

Entry 3:
The following is a calculated PXRD pattern of Cs2CuBr4. It was derived from a GGA-PBE-relaxed structure, using Cu Kα (λ = 1.5418 Å).
Lines closer than 0.1° are merged.

Largest 10 diffraction maxima, in order of rising 2θ, 2θ = 15–90°:
| (hkl) | Position (°2θ) | I (rel.) |
| --- | --- | --- |
| 0 2 0 | 21.98 | 100 |
| 3 0 1 | 26.32 | 94 |
| 0 0 4 | 27.11 | 95 |
| 1 2 2 | 27.25 | 98 |
| 2 2 0 | 27.84 | 50 |
| 2 2 1 | 28.65 | 61 |
| 3 0 2 | 28.86 | 55 |
| 3 0 3 | 32.71 | 52 |
| 2 2 3 | 34.67 | 58 |
| 2 2 4 | 39.24 | 48 |

Crystal structure
Unit cell a=10.515 b=8.085 c=13.155 alpha=90.00 beta=90.00 gamma=90.00
Space group Pnma (No. 62)
Symmetry-distinct sites (fractional):
Cs 0.007 0.250 0.167 [4 per cell]
Cs 0.125 0.250 0.603 [4 per cell]
Cu 0.230 0.250 0.919 [4 per cell]
Br 0.006 0.250 0.877 [4 per cell]
Br 0.157 0.750 0.579 [4 per cell]
Br 0.208 0.018 0.358 [8 per cell]

Entry 4:
The following is a calculated PXRD pattern of Pu4Pt3. It was derived from a GGA-PBE-relaxed structure, using Cu Kα (λ = 1.5418 Å).
Lines closer than 0.1° are merged.

Largest 10 diffraction maxima, in order of rising 2θ, 2θ = 15–90°:
| (hkl) | Position (°2θ) | I (rel.) |
| --- | --- | --- |
| 3 1 0 | 32.54 | 100 |
| 3 2 1 | 38.72 | 67 |
| 4 2 0 | 46.68 | 10 |
| 3 3 2 | 49.11 | 9 |
| 4 2 2 | 51.45 | 17 |
| 4 3 1 | 53.71 | 23 |
| 6 1 1 | 66.21 | 25 |
| 6 2 0 | 68.16 | 12 |
| 5 4 1 | 70.08 | 15 |
| 5 5 2 | 81.24 | 16 |

Crystal structure
Unit cell a=8.701 b=8.701 c=8.701 alpha=90.00 beta=90.00 gamma=90.00
Space group I-43d (No. 220)
Symmetry-distinct sites (fractional):
Pu 0.072 0.072 0.072 [16 per cell]
Pt 0.000 0.250 0.375 [12 per cell]

Entry 5:
The following is a calculated PXRD pattern of VCrPBr. It was derived from a GGA-PBE-relaxed structure, using Cu Kα (λ = 1.5418 Å).
Lines closer than 0.1° are merged.

Largest 10 diffraction maxima, in order of rising 2θ, 2θ = 15–90°:
| (hkl) | Position (°2θ) | I (rel.) |
| --- | --- | --- |
| 0 0 6 | 26.85 | 17 |
| 1 0 1 | 28.37 | 100 |
| 0 1 2 | 29.43 | 40 |
| 1 0 4 | 33.38 | 49 |
| 1 0 7 | 42.59 | 39 |
| 0 1 8 | 46.27 | 67 |
| 1 1 0 | 49.55 | 60 |
| 0 2 1 | 58.09 | 12 |
| 1 1 9 | 66.04 | 13 |
| 2 0 8 | 70.12 | 18 |

Crystal structure
Unit cell a=3.6790 b=3.6790 c=19.9227 alpha=90.00 beta=90.00 gamma=120.00
Space group R3m (No. 160, hexagonal axes)
Symmetry-distinct sites (fractional):
V 0.0000 0.0000 0.0000 [3 per cell]
Cr 0.0000 0.0000 0.1144 [3 per cell]
P 0.0000 0.0000 0.7328 [3 per cell]
Br 0.0000 0.0000 0.2483 [3 per cell]

Entry 6:
The following is a calculated PXRD pattern of BaThCu2S4. It was derived from a GGA-PBE-relaxed structure, using Cu Kα (λ = 1.5418 Å).
Lines closer than 0.1° are merged.

Largest 10 diffraction maxima, in order of rising 2θ, 2θ = 15–90°:
| (hkl) | Position (°2θ) | I (rel.) |
| --- | --- | --- |
| 0 1 1 | 16.10 | 36 |
| 1 1 0 | 18.07 | 38 |
| 0 2 0 | 24.07 | 32 |
| 1 1 2 | 28.27 | 100 |
| 0 2 2 | 32.53 | 28 |
| 2 0 2 | 34.94 | 27 |
| 2 2 0 | 36.60 | 50 |
| 1 3 2 | 45.02 | 28 |
| 1 1 4 | 47.86 | 29 |
| 3 1 2 | 48.68 | 23 |

Crystal structure
Unit cell a=6.566 b=7.395 c=8.245 alpha=90.00 beta=90.00 gamma=90.00
Space group I222 (No. 23)
Symmetry-distinct sites (fractional):
Ba 0.000 0.000 0.000 [2 per cell]
Th 0.000 0.000 0.500 [2 per cell]
Cu 0.000 0.500 0.158 [4 per cell]
S 0.249 0.191 0.303 [8 per cell]

Entry 7:
The following is a calculated PXRD pattern of MoPOs3. It was derived from a GGA-PBE-relaxed structure, using Cu Kα (λ = 1.5418 Å).
Lines closer than 0.1° are merged.

Largest 10 diffraction maxima, in order of rising 2θ, 2θ = 15–90°:
| (hkl) | Position (°2θ) | I (rel.) |
| --- | --- | --- |
| 1 0 0 | 20.47 | 11 |
| 1 1 0 | 29.11 | 2 |
| 1 1 1 | 35.85 | 100 |
| 2 0 0 | 41.63 | 60 |
| 2 1 0 | 46.82 | 5 |
| 2 2 0 | 60.34 | 40 |
| 3 0 0 | 64.43 | 3 |
| 3 1 1 | 72.22 | 40 |
| 2 2 2 | 75.98 | 14 |
| 3 2 0 | 79.69 | 1 |

Crystal structure
Unit cell a=4.338 b=4.338 c=4.338 alpha=90.00 beta=90.00 gamma=90.00
Space group Pm-3m (No. 221)
Symmetry-distinct sites (fractional):
Mo 0.000 0.000 0.000 [1 per cell]
P 0.500 0.500 0.500 [1 per cell]
Os 0.000 0.500 0.500 [3 per cell]

Entry 8:
The following is a calculated PXRD pattern of Fe2AgTe. It was derived from a GGA-PBE-relaxed structure, using Cu Kα (λ = 1.5418 Å).
Lines closer than 0.1° are merged.

Largest 10 diffraction maxima, in order of rising 2θ, 2θ = 15–90°:
| (hkl) | Position (°2θ) | I (rel.) |
| --- | --- | --- |
| 0 1 0 | 22.19 | 24 |
| 1 0 -1 | 30.97 | 17 |
| 1 0 1 | 37.29 | 33 |
| 0 1 2 | 37.85 | 100 |
| 1 1 -1 | 38.43 | 88 |
| 1 1 1 | 43.82 | 24 |
| 0 2 0 | 45.27 | 33 |
| 1 0 -3 | 49.72 | 24 |
| 1 2 1 | 60.04 | 16 |
| 1 2 -3 | 69.49 | 17 |

Crystal structure
Unit cell a=2.996 b=4.007 c=6.059 alpha=90.00 beta=102.96 gamma=90.00
Space group P2/m (No. 10)
Symmetry-distinct sites (fractional):
Fe 0.086 0.000 0.206 [2 per cell]
Ag 0.500 0.500 0.000 [1 per cell]
Te 0.000 0.500 0.500 [1 per cell]

Entry 9:
The following is a calculated PXRD pattern of Ce4CO3. It was derived from a GGA-PBE-relaxed structure, using Cu Kα (λ = 1.5418 Å).
Lines closer than 0.1° are merged.

Largest 10 diffraction maxima, in order of rising 2θ, 2θ = 15–90°:
| (hkl) | Position (°2θ) | I (rel.) |
| --- | --- | --- |
| 1 0 4 | 30.67 | 96 |
| 0 0 12 | 30.89 | 31 |
| 0 1 8 | 35.63 | 100 |
| 1 1 0 | 51.13 | 35 |
| 1 0 16 | 51.41 | 34 |
| 0 2 4 | 60.82 | 14 |
| 1 1 12 | 60.94 | 29 |
| 2 0 8 | 63.87 | 17 |
| 1 2 8 | 86.11 | 15 |
| 1 1 24 | 86.54 | 15 |

Crystal structure
Unit cell a=3.5728 b=3.5728 c=34.7417 alpha=90.00 beta=90.00 gamma=120.00
Space group R-3m (No. 166, hexagonal axes)
Symmetry-distinct sites (fractional):
Ce 0.0000 0.0000 0.1244 [6 per cell]
Ce 0.0000 0.0000 0.3743 [6 per cell]
C 0.0000 0.0000 0.5000 [3 per cell]
O 0.0000 0.0000 0.0000 [3 per cell]
O 0.0000 0.0000 0.2529 [6 per cell]

Entry 10:
The following is a calculated PXRD pattern of Nd7In6Ni5Ge3. It was derived from a GGA-PBE-relaxed structure, using Cu Kα (λ = 1.5418 Å).
Lines closer than 0.1° are merged.

Largest 10 diffraction maxima, in order of rising 2θ, 2θ = 15–90°:
| (hkl) | Position (°2θ) | I (rel.) |
| --- | --- | --- |
| 2 1 1 | 32.15 | 100 |
| 3 1 0 | 32.53 | 24 |
| 3 0 1 | 34.66 | 64 |
| 2 3 0 | 39.58 | 26 |
| 1 4 0 | 41.70 | 16 |
| 0 0 2 | 43.58 | 24 |
| 2 4 0 | 48.54 | 11 |
| 3 1 2 | 55.42 | 10 |
| 5 1 1 | 56.15 | 15 |
| 2 3 2 | 60.32 | 15 |

Crystal structure
Unit cell a=11.4608 b=11.4608 c=4.1536 alpha=90.00 beta=90.00 gamma=120.00
Space group P-6 (No. 174)
Symmetry-distinct sites (fractional):
Nd 0.0000 0.0000 0.0000 [1 per cell]
Nd 0.0755 0.6974 0.0000 [3 per cell]
Nd 0.3783 0.0855 0.0000 [3 per cell]
In 0.1620 0.5188 0.5000 [3 per cell]
In 0.5147 0.3504 0.5000 [3 per cell]
Ni 0.2468 0.1650 0.5000 [3 per cell]
Ni 0.3333 0.6667 0.0000 [1 per cell]
Ni 0.6667 0.3333 0.0000 [1 per cell]
Ge 0.0767 0.2305 0.5000 [3 per cell]

Entry 11:
The following is a calculated PXRD pattern of Pa2Be16C. It was derived from a GGA-PBE-relaxed structure, using Cu Kα (λ = 1.5418 Å).
Lines closer than 0.1° are merged.

Largest 10 diffraction maxima, in order of rising 2θ, 2θ = 15–90°:
| (hkl) | Position (°2θ) | I (rel.) |
| --- | --- | --- |
| 1 0 1 | 15.38 | 52 |
| 0 1 2 | 20.77 | 31 |
| 1 1 0 | 22.81 | 100 |
| 0 0 3 | 24.16 | 29 |
| 1 1 3 | 33.46 | 85 |
| 3 0 0 | 40.06 | 29 |
| 2 2 0 | 46.59 | 22 |
| 3 0 3 | 47.33 | 39 |
| 1 1 6 | 55.15 | 18 |
| 4 1 3 | 68.59 | 23 |

Crystal structure
Unit cell a=7.7977 b=7.7977 c=11.0520 alpha=90.00 beta=90.00 gamma=120.00
Space group R3m (No. 160, hexagonal axes)
Symmetry-distinct sites (fractional):
Pa 0.0000 0.0000 0.0000 [3 per cell]
Pa 0.0000 0.0000 0.3352 [3 per cell]
Be 0.0000 0.0000 0.7333 [3 per cell]
Be 0.0002 0.2884 0.6663 [18 per cell]
Be 0.0003 0.5001 0.5038 [9 per cell]
Be 0.0023 0.5011 0.8262 [9 per cell]
Be 0.1686 0.3372 0.4980 [9 per cell]
C 0.0000 0.0000 0.5578 [3 per cell]

Entry 12:
The following is a calculated PXRD pattern of Cd2P3O9. It was derived from a GGA-PBE-relaxed structure, using Cu Kα (λ = 1.5418 Å).
Lines closer than 0.1° are merged.

Largest 10 diffraction maxima, in order of rising 2θ, 2θ = 15–90°:
| (hkl) | Position (°2θ) | I (rel.) |
| --- | --- | --- |
| 1 0 0 | 15.08 | 21 |
| 1 0 2 | 23.28 | 91 |
| 1 1 0 | 26.27 | 21 |
| 1 1 1 | 27.75 | 19 |
| 1 1 2 | 31.82 | 100 |
| 1 2 0 | 40.63 | 19 |
| 1 1 4 | 44.87 | 29 |
| 3 0 0 | 46.36 | 27 |
| 3 0 2 | 49.98 | 15 |
| 2 2 2 | 57.33 | 18 |

Crystal structure
Unit cell a=6.7844 b=6.7844 c=10.0570 alpha=90.00 beta=90.00 gamma=120.00
Space group P6_3/m (No. 176)
Symmetry-distinct sites (fractional):
Cd 0.3333 0.6667 0.0008 [4 per cell]
P 0.0013 0.7452 0.7500 [6 per cell]
O 0.0011 0.7854 0.2500 [6 per cell]
O 0.0017 0.6310 0.6206 [12 per cell]